1.
Y4FeAsC2: calculated PXRD pattern (λ = 1.5418 Å (Cu Kα)), based on a PBE-relaxed structure.

Atomic structure:
```
data_Y4FeAsC2
_cell_length_a 3.6247
_cell_length_b 3.6247
_cell_length_c 14.1295
_cell_angle_alpha 90.00
_cell_angle_beta 90.00
_cell_angle_gamma 120.00
_space_group_name_H-M_alt 'P -6 m 2'
_space_group_IT_number 187
_space_group_name_Hall 'P -6 2'
loop_
_atom_site_label
_atom_site_type_symbol
_atom_site_fract_x
_atom_site_fract_y
_atom_site_fract_z
Y1 Y 0.0000 0.0000 0.1512
Y2 Y 0.6667 0.3333 0.3444
Fe1 Fe 0.0000 0.0000 0.5000
As1 As 0.6667 0.3333 0.0000
C1 C 0.3333 0.6667 0.2492
```

Peak list (10 most intense, 10 to 90 degrees two-theta, in order of rising 2θ)
hkl 1 0 0, 2θ 28.43, d = 3.139 Å, I 24.1
hkl 1 0 3, 2θ 34.33, d = 2.612 Å, I 100.0
hkl 0 0 6, 2θ 38.22, d = 2.355 Å, I 13.0
hkl 1 0 6, 2θ 48.31, d = 1.884 Å, I 12.7
hkl 1 1 0, 2θ 50.35, d = 1.812 Å, I 24.5
hkl 2 0 3, 2θ 62.36, d = 1.489 Å, I 16.7
hkl 1 1 6, 2θ 64.93, d = 1.436 Å, I 16.5
hkl 1 0 9, 2θ 66.60, d = 1.404 Å, I 9.2
hkl 2 1 3, 2θ 84.14, d = 1.151 Å, I 14.1
hkl 2 0 9, 2θ 87.98, d = 1.110 Å, I 4.3

=====

2.
LaSi2Tc: calculated PXRD pattern (λ = 1.5418 Å (Cu Kα)), based on a PBE-relaxed structure.

Atomic structure:
```
data_LaSi2Tc
_cell_length_a 7.3989
_cell_length_b 4.0327
_cell_length_c 10.4179
_cell_angle_alpha 90.00
_cell_angle_beta 90.00
_cell_angle_gamma 90.00
_space_group_name_H-M_alt 'P n m a'
_space_group_IT_number 62
loop_
_space_group_symop_operation_xyz
'x,y,z'
'-x,-y,-z'
'-x+1/2,-y,z+1/2'
'x+1/2,y,-z+1/2'
'x+1/2,-y+1/2,-z+1/2'
'-x+1/2,y+1/2,z+1/2'
'-x,y+1/2,-z'
'x,-y+1/2,z'
loop_
_atom_site_label
_atom_site_type_symbol
_atom_site_fract_x
_atom_site_fract_y
_atom_site_fract_z
La1 La 0.1450 0.2500 0.1250
Si1 Si 0.1640 0.2500 0.8123
Si2 Si 0.1921 0.2500 0.4233
Tc1 Tc 0.0071 0.7500 0.3919
```

Peak list (10 most intense, 10 to 90 degrees two-theta, in order of rising 2θ)
hkl 1 1 1, 2θ 26.59, d = 3.353 Å, I 22.6
hkl 1 1 2, 2θ 30.53, d = 2.928 Å, I 100.0
hkl 2 1 0, 2θ 32.85, d = 2.726 Å, I 43.5
hkl 2 1 1, 2θ 34.00, d = 2.637 Å, I 23.1
hkl 0 0 4, 2θ 34.43, d = 2.604 Å, I 38.6
hkl 2 0 3, 2θ 35.45, d = 2.532 Å, I 21.3
hkl 1 1 3, 2θ 36.23, d = 2.479 Å, I 25.7
hkl 3 0 1, 2θ 37.47, d = 2.400 Å, I 25.8
hkl 2 1 3, 2θ 42.14, d = 2.144 Å, I 30.0
hkl 0 2 0, 2θ 44.96, d = 2.016 Å, I 27.6

=====

3.
Nb4Te9I4O: calculated PXRD pattern (λ = 1.5418 Å (Cu Kα)), based on a PBE-relaxed structure.

Atomic structure:
```
data_Nb4Te9I4O
_cell_length_a 22.9484
_cell_length_b 6.2957
_cell_length_c 20.8305
_cell_angle_alpha 90.00
_cell_angle_beta 122.34
_cell_angle_gamma 90.00
_space_group_name_H-M_alt 'C 1 2/c 1'
_space_group_IT_number 15
loop_
_space_group_symop_operation_xyz
'x,y,z'
'-x,-y,-z'
'-x,y,-z+1/2'
'x,-y,z+1/2'
'x+1/2,y+1/2,z'
'-x+1/2,-y+1/2,-z'
'-x+1/2,y+1/2,-z+1/2'
'x+1/2,-y+1/2,z+1/2'
loop_
_atom_site_label
_atom_site_type_symbol
_atom_site_fract_x
_atom_site_fract_y
_atom_site_fract_z
Nb1 Nb 0.0606 0.0577 0.3536
Nb2 Nb 0.0784 0.2985 0.2360
Te1 Te 0.0000 0.3029 0.7500
Te2 Te 0.0237 0.3564 0.4272
Te3 Te 0.0549 0.0055 0.6266
Te4 Te 0.1684 0.3570 0.4013
Te5 Te 0.1753 0.0054 0.8325
I1 I 0.1370 0.2001 0.9857
I2 I 0.1695 0.4404 0.7193
O1 O 0.0000 0.2428 0.2500
```

Peak list (10 most intense, 10 to 90 degrees two-theta, in order of rising 2θ)
hkl 0 0 2, 2θ 10.05, d = 8.800 Å, I 37.7
hkl 1 1 3, 2θ 22.91, d = 3.882 Å, I 38.7
hkl 5 1 -3, 2θ 24.17, d = 3.683 Å, I 100.0
hkl 4 0 -6, 2θ 25.75, d = 3.460 Å, I 33.7
hkl 1 1 4, 2θ 27.05, d = 3.296 Å, I 96.1
hkl 5 1 -6, 2θ 30.16, d = 2.963 Å, I 29.6
hkl 7 1 -4, 2θ 30.89, d = 2.894 Å, I 85.2
hkl 0 2 4, 2θ 35.05, d = 2.560 Å, I 31.7
hkl 1 1 6, 2θ 36.26, d = 2.477 Å, I 44.7
hkl 6 0 -10, 2θ 43.40, d = 2.085 Å, I 38.1